No. 1
The following is a calculated PXRD pattern of ZrBi2O. It was derived from a GGA-PBE-relaxed structure, using CuKα.

Principal peaks in the range 10 to 90 degrees two-theta, sorted by position:
2θ/deg  Rel. int.
17.7  11
28.1  56
29.5  100
34.6  18
39.1  32
40.2  25
45.9  19
46.1  18
50.6  17
54.0  11
58.0  16
60.5  14

Cell and atoms:
```
data_ZrBi2O
_cell_length_a 7.3889
_cell_length_b 7.3889
_cell_length_c 7.3889
_cell_angle_alpha 94.44
_cell_angle_beta 94.44
_cell_angle_gamma 147.67
_symmetry_space_group_name_H-M 'P 1'
_symmetry_Int_Tables_number 1
_symmetry_space_group_name_Hall 'P 1'
loop_
_atom_site_label
_atom_site_fract_x
_atom_site_fract_y
_atom_site_fract_z
_atom_site_occupancy
Zr1 0.0000 0.0000 0.0000 1
Zr2 0.7500 0.2500 0.5000 1
Bi1 0.2456 0.6250 0.1206 1
Bi2 0.3750 0.4956 0.6206 1
Bi3 0.5044 0.1250 0.8794 1
Bi4 0.8750 0.7544 0.3794 1
O1 0.2500 0.7500 0.5000 1
O2 0.5000 0.5000 0.0000 1
```



No. 2
The following is a calculated PXRD pattern of GaCu3Ni4. It was derived from a GGA-PBE-relaxed structure, using CuKα.

Principal peaks in the range 10 to 90 degrees two-theta, sorted by position:
2θ/deg  Rel. int.
41.8  22
42.5  12
43.9  58
46.1  100
48.2  14
52.7  11
54.6  10
62.8  7
71.6  8
76.3  10
82.3  16
88.0  14

Cell and atoms:
```
data_GaCu3Ni4
_cell_length_a 8.2462
_cell_length_b 5.2704
_cell_length_c 4.2517
_cell_angle_alpha 90.00
_cell_angle_beta 90.00
_cell_angle_gamma 90.00
_symmetry_space_group_name_H-M 'P 1'
_symmetry_Int_Tables_number 1
_symmetry_space_group_name_Hall 'P 1'
loop_
_atom_site_label
_atom_site_fract_x
_atom_site_fract_y
_atom_site_fract_z
_atom_site_occupancy
Ga1 0.0000 0.0000 0.0000 1
Ga2 0.5000 0.0000 0.0000 1
Cu1 0.0000 0.5000 0.0000 1
Cu2 0.2500 0.0000 0.3845 1
Cu3 0.2500 0.5000 0.3754 1
Cu4 0.5000 0.5000 0.0000 1
Cu5 0.7500 0.0000 0.6155 1
Cu6 0.7500 0.5000 0.6246 1
Ni1 0.0000 0.2507 0.5000 1
Ni2 0.0000 0.7493 0.5000 1
Ni3 0.2500 0.2520 0.8745 1
Ni4 0.2500 0.7480 0.8745 1
Ni5 0.5000 0.2507 0.5000 1
Ni6 0.5000 0.7493 0.5000 1
Ni7 0.7500 0.2520 0.1255 1
Ni8 0.7500 0.7480 0.1255 1
```



> What is the formula in the first record?

ZrBi2O